Theoretical powder diffraction line list
Compound: UCr4F12
Radiation: Cu Kα X-rays
Structure: DFT lattice parameters and positions (GGA+U)
Peak positions follow from Bragg's law for the DFT cell and can differ from measured ones.

Cell and atoms:
```
data_UCr4F12
_chemical_formula_sum 'U2 Cr8 F24'
_space_group_name_H-M_alt 'I m m m'
_space_group_IT_number 71
_space_group_name_Hall '-I 2 2'
_cell_length_a 7.750
_cell_length_b 7.944
_cell_length_c 9.542
_cell_angle_alpha 90.00
_cell_angle_beta 90.00
_cell_angle_gamma 90.00
loop_
_atom_site_label
_atom_site_fract_x
_atom_site_fract_y
_atom_site_fract_z
_atom_site_occupancy
U1 0.000 0.000 0.000 1
Cr1 0.250 0.250 0.250 1
F1 0.000 0.303 0.267 1
F2 0.178 0.000 0.217 1
F3 0.183 0.211 0.000 1
```

Most intense lines, 2θ from 15° to 90°, in order of rising 2θ:
2theta, d/Å, Rel. int., hkl
16.0, 5.547, 100, 1 1 0
24.6, 3.617, 64, 1 1 2
26.9, 3.315, 44, 1 2 1
27.3, 3.272, 40, 2 1 1
29.3, 3.053, 53, 0 2 2
29.7, 3.008, 50, 2 0 2
32.3, 2.774, 45, 2 2 0
37.7, 2.385, 43, 0 0 4